No. 1
Calculated powder X-ray diffraction pattern of K3AlH6 for a wavelength of 1.5418 Å, from a PBE-relaxed structure.

Crystal structure
Lattice parameters (Å, degrees): 5.8526 5.8526 9.2426 90.00 90.00 90.00
Space group I4/mmm (No. 139)
Unique sites:
K 0.0000 0.0000 0.0000 x2
K 0.0000 0.5000 0.2500 x4
Al 0.0000 0.0000 0.5000 x2
H 0.0000 0.0000 0.2907 x4
H 0.0000 0.2958 0.5000 x8

Most intense lines, 2θ from 10° to 90°, in order of falling intensity:
| Position (°2θ) | d (Å) | Rel. int. | h k l |
| --- | --- | --- | --- |
| 28.96 | 3.083 | 100 | 1 1 2 |
| 30.55 | 2.926 | 48 | 2 0 0 |
| 53.32 | 1.718 | 32 | 3 1 2 |
| 50.32 | 1.813 | 20 | 2 0 4 |
| 43.75 | 2.069 | 15 | 2 2 0 |
| 38.98 | 2.311 | 12 | 0 0 4 |
| 60.02 | 1.541 | 11 | 2 2 4 |
| 64.55 | 1.444 | 9 | 1 1 6 |

No. 2
Calculated powder X-ray diffraction pattern of KAlH4 for a wavelength of 1.5418 Å, from a PBE-relaxed structure.

Crystal structure
Lattice parameters (Å, degrees): 5.4002 5.4002 12.6071 90.00 90.00 90.00
Space group I4_1/a (No. 88, origin choice 2)
Unique sites:
K 0.0000 0.2500 0.1250 x4
Al 0.0000 0.2500 0.6250 x4
H 0.0960 0.0195 0.6980 x16

Most intense lines, 2θ from 10° to 90°, in order of falling intensity:
| Position (°2θ) | d (Å) | Rel. int. | h k l |
| --- | --- | --- | --- |
| 27.31 | 3.266 | 100 | 1 1 2 |
| 33.18 | 2.700 | 27 | 2 0 0 |
| 44.17 | 2.051 | 24 | 2 0 4 |
| 55.77 | 1.648 | 22 | 3 1 2 |
| 28.32 | 3.152 | 21 | 0 0 4 |
| 49.51 | 1.841 | 16 | 1 1 6 |
| 56.34 | 1.633 | 11 | 2 2 4 |
| 71.15 | 1.325 | 11 | 1 3 6 |

No. 3
Calculated powder X-ray diffraction pattern of K2LiAlH6 for a wavelength of 1.5418 Å, from a PBE-relaxed structure.

Crystal structure
Lattice parameters (Å, degrees): 7.8182 7.8182 7.8182 90.00 90.00 90.00
Space group Fm-3m (No. 225)
Unique sites:
K 0.2500 0.2500 0.2500 x8
Li 0.0000 0.0000 0.0000 x4
Al 0.0000 0.0000 0.5000 x4
H 0.0000 0.0000 0.2711 x24

Most intense lines, 2θ from 10° to 90°, in order of falling intensity:
| Position (°2θ) | d (Å) | Rel. int. | h k l |
| --- | --- | --- | --- |
| 32.39 | 2.764 | 100 | 2 2 0 |
| 57.77 | 1.596 | 33 | 4 2 2 |
| 22.75 | 3.909 | 22 | 2 0 0 |
| 46.46 | 1.955 | 19 | 4 0 0 |
| 77.17 | 1.236 | 13 | 6 2 0 |
| 19.67 | 4.514 | 11 | 1 1 1 |
| 67.81 | 1.382 | 11 | 4 4 0 |
| 39.95 | 2.257 | 9 | 2 2 2 |